Entry 1:
# Nd4HgPb
Calculated powder XRD pattern, Cu Kα, 1.54184 Å. Input: a DFT-relaxed cell (GGA-PBE, Alexandria).
Neutral-atom scattering factors, no anomalous dispersion.

Most intense lines, 2θ from 10° to 80°, sorted by position:
d_spacing	two_theta	I (rel.)	h k l
4.339	20.47	39	1 0 1
2.657	33.73	100	2 0 0
2.270	39.71	7	1 0 3
2.264	39.82	15	2 1 1
1.884	48.32	6	0 0 4
1.876	48.52	12	2 2 0
1.724	53.12	10	3 0 1
1.536	60.25	12	2 0 4
1.533	60.38	25	3 1 2
1.329	70.89	8	2 2 4

Atomic structure:
```
data_Nd4HgPb
_chemical_formula_sum 'Nd4 Hg1 Pb1'
_symmetry_space_group_name_H-M 'P 4/m m m'
_symmetry_Int_Tables_number 123
_symmetry_space_group_name_Hall '-P 4 2'
_cell_length_a 5.307
_cell_length_b 5.307
_cell_length_c 7.534
_cell_angle_alpha 90.00
_cell_angle_beta 90.00
_cell_angle_gamma 90.00
loop_
_atom_site_label
_atom_site_type_symbol
_atom_site_fract_x
_atom_site_fract_y
_atom_site_fract_z
Nd1 Nd 0.000 0.500 0.238
Hg1 Hg 0.000 0.000 0.000
Pb1 Pb 0.500 0.500 0.500
```

---

Entry 2:
# Rb3Cu2SnI9
Calculated powder XRD pattern, Cu Kα, 1.54184 Å. Input: a DFT-relaxed cell (GGA-PBE, Alexandria).
Neutral-atom scattering factors, no anomalous dispersion.

Most intense lines, 2θ from 10° to 80°, sorted by position:
d_spacing	two_theta	I (rel.)	h k l
5.798	15.28	29	1 0 1
3.365	26.48	23	0 0 3
3.341	26.68	69	0 2 1
2.899	30.85	100	2 0 2
2.055	44.06	36	0 2 4
2.044	44.31	36	2 2 0
1.747	52.36	20	2 2 3
1.671	54.96	19	0 4 2
1.299	72.80	15	2 2 6
1.294	73.16	16	4 2 2

Atomic structure:
```
data_Rb3Cu2SnI9
_chemical_formula_sum 'Rb3 Cu2 Sn1 I9'
_symmetry_space_group_name_H-M 'P -3 m 1'
_symmetry_Int_Tables_number 164
_symmetry_space_group_name_Hall '-P 3 2"'
_cell_length_a 8.1772
_cell_length_b 8.1772
_cell_length_c 10.0962
_cell_angle_alpha 90.00
_cell_angle_beta 90.00
_cell_angle_gamma 120.00
loop_
_atom_site_label
_atom_site_type_symbol
_atom_site_fract_x
_atom_site_fract_y
_atom_site_fract_z
Rb1 Rb 0.0000 0.0000 0.0000
Rb2 Rb 0.3333 0.6667 0.6781
Cu1 Cu 0.3333 0.6667 0.1471
Sn1 Sn 0.0000 0.0000 0.5000
I1 I 0.0000 0.5000 0.0000
I2 I 0.1730 0.3460 0.3259
```

---

Entry 3:
# Tl2In6Pb5
Calculated powder XRD pattern, Cu Kα, 1.54184 Å. Input: a DFT-relaxed cell (GGA-PBE, Alexandria).
Neutral-atom scattering factors, no anomalous dispersion.

Most intense lines, 2θ from 10° to 80°, sorted by position:
d_spacing	two_theta	I (rel.)	h k l
3.077	29.02	23	2 0 -2
2.930	30.51	16	2 1 0
2.886	30.98	100	0 0 4
2.715	32.99	11	2 1 -3
2.600	34.49	47	1 3 -3
2.464	36.47	9	1 4 -1
2.426	37.06	20	2 0 2
1.736	52.74	14	1 3 5
1.551	59.61	19	1 3 -7
1.524	60.77	11	0 6 4

Atomic structure:
```
data_Tl2In6Pb5
_chemical_formula_sum 'Tl4 In12 Pb10'
_symmetry_space_group_name_H-M 'P 1 21/c 1'
_symmetry_Int_Tables_number 14
_cell_length_a 6.349
_cell_length_b 10.763
_cell_length_c 12.049
_cell_angle_alpha 90.00
_cell_angle_beta 106.43
_cell_angle_gamma 90.00
loop_
_symmetry_equiv_pos_as_xyz
'x,y,z'
'-x,-y,-z'
'-x,y+1/2,-z+1/2'
'x,-y+1/2,z+1/2'
loop_
_atom_site_label
_atom_site_type_symbol
_atom_site_fract_x
_atom_site_fract_y
_atom_site_fract_z
Tl1 Tl 0.205 0.172 0.243
In1 In 0.033 0.144 0.504
In2 In 0.095 0.088 0.934
In3 In 0.295 0.668 0.766
Pb1 Pb 0.291 0.519 0.236
Pb2 Pb 0.408 0.672 0.506
Pb3 Pb 0.500 0.000 0.500
```

---

Entry 4:
# AgPd2Au4
Calculated powder XRD pattern, Cu Kα, 1.54184 Å. Input: a DFT-relaxed cell (GGA-PBE, Alexandria).
Neutral-atom scattering factors, no anomalous dispersion.

Most intense lines, 2θ from 10° to 80°, sorted by position:
d_spacing	two_theta	I (rel.)	h k l
2.609	34.38	21	1 1 4
2.579	34.79	36	0 2 4
2.345	38.39	64	2 0 0
2.281	39.51	100	1 3 0
2.266	39.79	95	1 1 5
2.247	40.13	52	0 2 5
1.735	52.77	22	2 2 4
1.622	56.76	25	2 2 5
1.341	70.18	18	3 3 0
1.338	70.37	18	3 1 5

Atomic structure:
```
data_AgPd2Au4
_chemical_formula_sum 'Ag4 Pd8 Au16'
_symmetry_space_group_name_H-M 'C m c m'
_symmetry_Int_Tables_number 63
_symmetry_space_group_name_Hall '-C 2c 2'
_cell_length_a 4.689
_cell_length_b 7.831
_cell_length_c 13.708
_cell_angle_alpha 90.00
_cell_angle_beta 90.00
_cell_angle_gamma 90.00
loop_
_atom_site_label
_atom_site_type_symbol
_atom_site_fract_x
_atom_site_fract_y
_atom_site_fract_z
Ag1 Ag 0.000 0.027 0.250
Pd1 Pd 0.000 0.339 0.054
Au1 Au 0.000 0.000 0.000
Au2 Au 0.000 0.308 0.645
Au3 Au 0.000 0.365 0.250
```

---

Entry 5:
# NaSn4Pb8
Calculated powder XRD pattern, Cu Kα, 1.54184 Å. Input: a DFT-relaxed cell (GGA-PBE, Alexandria).
Neutral-atom scattering factors, no anomalous dispersion.

Most intense lines, 2θ from 10° to 80°, sorted by position:
d_spacing	two_theta	I (rel.)	h k l
2.942	30.38	100	2 0 -1
2.796	32.02	52	0 1 4
2.777	32.24	48	1 1 2
2.754	32.52	67	1 0 6
2.733	32.77	58	1 1 -3
2.647	33.87	62	1 0 -7
2.055	44.06	25	2 1 3
1.696	54.07	20	0 2 0
1.470	63.28	23	2 2 -1
1.428	65.34	20	1 2 -7

Atomic structure:
```
data_NaSn4Pb8
_chemical_formula_sum 'Na1 Sn4 Pb8'
_symmetry_space_group_name_H-M 'P 1 m 1'
_symmetry_Int_Tables_number 6
_cell_length_a 5.893
_cell_length_b 3.392
_cell_length_c 19.838
_cell_angle_alpha 90.00
_cell_angle_beta 95.75
_cell_angle_gamma 90.00
loop_
_symmetry_equiv_pos_as_xyz
'x,y,z'
'x,-y,z'
loop_
_atom_site_label
_atom_site_type_symbol
_atom_site_fract_x
_atom_site_fract_y
_atom_site_fract_z
Na1 Na 0.000 0.000 0.000
Sn1 Sn 0.190 0.500 0.299
Sn2 Sn 0.353 0.000 0.615
Sn3 Sn 0.560 0.500 0.077
Sn4 Sn 0.891 0.000 0.704
Pb1 Pb 0.133 0.000 0.155
Pb2 Pb 0.247 0.000 0.450
Pb3 Pb 0.414 0.500 0.759
Pb4 Pb 0.469 0.000 0.918
Pb5 Pb 0.658 0.000 0.233
Pb6 Pb 0.718 0.500 0.385
Pb7 Pb 0.823 0.500 0.556
Pb8 Pb 0.945 0.500 0.851
```

---

Entry 6:
# DyMgCu5
Calculated powder XRD pattern, Cu Kα, 1.54184 Å. Input: a DFT-relaxed cell (GGA-PBE, Alexandria).
Neutral-atom scattering factors, no anomalous dispersion.

Most intense lines, 2θ from 10° to 80°, sorted by position:
d_spacing	two_theta	I (rel.)	h k l
3.972	22.38	17	1 1 1
2.518	35.65	14	0 2 0
2.488	36.10	24	1 0 4
2.348	38.33	100	3 1 1
2.268	39.74	16	0 2 2
2.187	41.29	18	1 2 2
2.024	44.77	13	1 0 5
2.019	44.90	24	4 0 1
1.980	45.82	22	1 2 3
1.419	65.82	18	3 3 1

Atomic structure:
```
data_DyMgCu5
_chemical_formula_sum 'Dy4 Mg4 Cu20'
_symmetry_space_group_name_H-M 'P n m a'
_symmetry_Int_Tables_number 62
_cell_length_a 8.227
_cell_length_b 5.036
_cell_length_c 10.442
_cell_angle_alpha 90.00
_cell_angle_beta 90.00
_cell_angle_gamma 90.00
loop_
_symmetry_equiv_pos_as_xyz
'x,y,z'
'-x,-y,-z'
'-x+1/2,-y,z+1/2'
'x+1/2,y,-z+1/2'
'x+1/2,-y+1/2,-z+1/2'
'-x+1/2,y+1/2,z+1/2'
'-x,y+1/2,-z'
'x,-y+1/2,z'
loop_
_atom_site_label
_atom_site_type_symbol
_atom_site_fract_x
_atom_site_fract_y
_atom_site_fract_z
Dy1 Dy 0.248 0.250 0.060
Mg1 Mg 0.137 0.750 0.861
Cu1 Cu 0.052 0.750 0.104
Cu2 Cu 0.068 0.005 0.312
Cu3 Cu 0.088 0.250 0.517
Cu4 Cu 0.187 0.250 0.744
```

---

Entry 7:
# Na4TlCd2
Calculated powder XRD pattern, Cu Kα, 1.54184 Å. Input: a DFT-relaxed cell (GGA-PBE, Alexandria).
Neutral-atom scattering factors, no anomalous dispersion.

Most intense lines, 2θ from 10° to 80°, sorted by position:
d_spacing	two_theta	I (rel.)	h k l
5.401	16.41	54	1 0 1
4.633	19.16	96	0 0 2
4.369	20.33	100	1 0 -1
4.248	20.91	51	1 1 2
3.129	28.53	63	2 1 1
2.657	33.74	50	0 2 -2
2.569	34.92	51	2 1 3
2.531	35.46	49	1 -2 1
2.471	36.35	46	1 0 -3
2.455	36.61	46	1 3 2

Atomic structure:
```
data_Na4TlCd2
_chemical_formula_sum 'Na8 Tl2 Cd4'
_symmetry_space_group_name_H-M 'P 1'
_symmetry_Int_Tables_number 1
_cell_length_a 6.261
_cell_length_b 7.717
_cell_length_c 9.782
_cell_angle_alpha 77.09
_cell_angle_beta 72.64
_cell_angle_gamma 67.46
loop_
_symmetry_equiv_pos_as_xyz
'x,y,z'
loop_
_atom_site_label
_atom_site_type_symbol
_atom_site_fract_x
_atom_site_fract_y
_atom_site_fract_z
Na1 Na 0.000 0.000 0.000
Na2 Na 0.007 0.453 0.534
Na3 Na 0.036 0.497 0.891
Na4 Na 0.464 0.455 0.130
Na5 Na 0.498 0.967 0.029
Na6 Na 0.511 0.484 0.504
Na7 Na 0.544 0.996 0.404
Na8 Na 0.973 0.956 0.642
Tl1 Tl 0.162 0.806 0.326
Tl2 Tl 0.848 0.646 0.207
Cd1 Cd 0.005 0.226 0.267
Cd2 Cd 0.373 0.135 0.718
Cd3 Cd 0.504 0.726 0.767
Cd4 Cd 0.634 0.317 0.816
```

---

Entry 8:
# Rb2TlGeBr6
Calculated powder XRD pattern, Cu Kα, 1.54184 Å. Input: a DFT-relaxed cell (GGA-PBE, Alexandria).
Neutral-atom scattering factors, no anomalous dispersion.

Most intense lines, 2θ from 10° to 80°, sorted by position:
d_spacing	two_theta	I (rel.)	h k l
5.754	15.40	23	0 0 2
5.691	15.57	43	1 0 0
4.046	21.97	43	1 0 2
3.298	27.04	51	1 1 2
2.877	31.08	49	0 0 4
2.845	31.44	100	2 0 0
2.548	35.22	24	2 0 2
2.023	44.80	70	2 0 4
2.012	45.06	36	2 2 0
1.649	55.75	36	2 2 4

Atomic structure:
```
data_Rb2TlGeBr6
_chemical_formula_sum 'Rb2 Tl1 Ge1 Br6'
_symmetry_space_group_name_H-M 'P 4/m m m'
_symmetry_Int_Tables_number 123
_symmetry_space_group_name_Hall '-P 4 2'
_cell_length_a 5.691
_cell_length_b 5.691
_cell_length_c 11.509
_cell_angle_alpha 90.00
_cell_angle_beta 90.00
_cell_angle_gamma 90.00
loop_
_atom_site_label
_atom_site_type_symbol
_atom_site_fract_x
_atom_site_fract_y
_atom_site_fract_z
Rb1 Rb 0.000 0.000 0.233
Tl1 Tl 0.500 0.500 0.500
Ge1 Ge 0.500 0.500 0.000
Br1 Br 0.000 0.500 0.000
Br2 Br 0.000 0.500 0.500
Br3 Br 0.500 0.500 0.237
```

---

Entry 9:
# Hg3Os4
Calculated powder XRD pattern, Cu Kα, 1.54184 Å. Input: a DFT-relaxed cell (GGA-PBE, Alexandria).
Neutral-atom scattering factors, no anomalous dispersion.

Most intense lines, 2θ from 10° to 80°, sorted by position:
d_spacing	two_theta	I (rel.)	h k l
2.970	30.08	7	0 0 10
2.378	37.83	100	1 0 7
2.166	41.70	5	1 0 9
2.122	42.61	11	0 0 14
2.030	44.63	37	1 1 0
1.676	54.77	6	1 1 10
1.493	62.19	10	1 0 17
1.467	63.41	13	1 1 14
1.436	64.96	12	2 0 0
1.229	77.70	26	2 1 7

Atomic structure:
```
data_Hg3Os4
_chemical_formula_sum 'Hg6 Os8'
_symmetry_space_group_name_H-M 'I 4/m m m'
_symmetry_Int_Tables_number 139
_symmetry_space_group_name_Hall '-I 4 2'
_cell_length_a 2.871
_cell_length_b 2.871
_cell_length_c 29.704
_cell_angle_alpha 90.00
_cell_angle_beta 90.00
_cell_angle_gamma 90.00
loop_
_atom_site_label
_atom_site_type_symbol
_atom_site_fract_x
_atom_site_fract_y
_atom_site_fract_z
Hg1 Hg 0.000 0.000 0.000
Hg2 Hg 0.000 0.000 0.296
Os1 Os 0.000 0.000 0.130
Os2 Os 0.000 0.000 0.424
```

---

Entry 10:
# CuSnCl
Calculated powder XRD pattern, Cu Kα, 1.54184 Å. Input: a DFT-relaxed cell (GGA-PBE, Alexandria).
Neutral-atom scattering factors, no anomalous dispersion.

Most intense lines, 2θ from 10° to 80°, sorted by position:
d_spacing	two_theta	I (rel.)	h k l
5.527	16.03	100	0 0 1
3.459	25.75	21	1 1 0
3.425	26.01	24	1 -1 0
2.924	30.57	24	0 1 2
2.764	32.39	20	0 0 2
2.520	35.63	44	2 0 0
2.287	39.39	34	1 2 1
2.262	39.86	20	-1 2 1
2.088	43.34	15	1 2 2
2.062	43.91	29	-1 2 2

Atomic structure:
```
data_CuSnCl
_chemical_formula_sum 'Cu2 Sn2 Cl2'
_symmetry_space_group_name_H-M 'P -1'
_symmetry_Int_Tables_number 2
_cell_length_a 5.040
_cell_length_b 5.105
_cell_length_c 5.987
_cell_angle_alpha 67.40
_cell_angle_beta 89.19
_cell_angle_gamma 89.17
loop_
_symmetry_equiv_pos_as_xyz
'x,y,z'
'-x,-y,-z'
loop_
_atom_site_label
_atom_site_type_symbol
_atom_site_fract_x
_atom_site_fract_y
_atom_site_fract_z
Cu1 Cu 0.240 0.387 0.427
Sn1 Sn 0.255 0.806 0.585
Cl1 Cl 0.250 0.745 0.028
```

---

Entry 11:
# PrTlP2O8
Calculated powder XRD pattern, Cu Kα, 1.54184 Å. Input: a DFT-relaxed cell (GGA-PBE, Alexandria).
Neutral-atom scattering factors, no anomalous dispersion.

Most intense lines, 2θ from 10° to 80°, sorted by position:
d_spacing	two_theta	I (rel.)	h k l
4.462	19.90	100	1 0 0
3.817	23.30	22	0 1 1
2.841	31.49	83	1 0 2
2.576	34.83	43	1 1 0
2.111	42.83	38	2 -1 2
1.908	47.65	34	0 2 2
1.703	53.83	16	0 1 4
1.686	54.40	15	1 2 0
1.533	60.36	27	2 1 2
1.499	61.92	15	1 1 4

Atomic structure:
```
data_PrTlP2O8
_chemical_formula_sum 'Pr1 Tl1 P2 O8'
_symmetry_space_group_name_H-M 'P -3'
_symmetry_Int_Tables_number 147
_cell_length_a 5.1521
_cell_length_b 5.1521
_cell_length_c 7.3702
_cell_angle_alpha 90.00
_cell_angle_beta 90.00
_cell_angle_gamma 120.00
loop_
_symmetry_equiv_pos_as_xyz
'x,y,z'
'-x,-y,-z'
'-y,x-y,z'
'y,-x+y,-z'
'-x+y,-x,z'
'x-y,x,-z'
loop_
_atom_site_label
_atom_site_type_symbol
_atom_site_fract_x
_atom_site_fract_y
_atom_site_fract_z
Pr1 Pr 0.0000 0.0000 0.0000
Tl1 Tl 0.0000 0.0000 0.5000
P1 P 0.3333 0.6667 0.7836
O1 O 0.1097 0.3421 0.7204
O2 O 0.3333 0.6667 0.9924
```